# 1
Tl2CSe2: computed PXRD pattern (Cu Kα X-rays), based on a structure optimized by DFT (PBE).
Intensities are scaled so that the largest is 100.

Cell and atoms:
a b c (Å): 6.705 6.705 6.841
angles (deg): 90.00 90.00 90.00
Atoms (fractional coordinates):
Tl (0.000, 0.500, 0.250)
Tl (0.000, 0.500, 0.750)
Tl (0.500, 0.000, 0.250)
Tl (0.500, 0.000, 0.750)
C (0.000, 0.000, 0.000)
C (0.500, 0.500, 0.500)
Se (0.000, 0.000, 0.258)
Se (0.000, 0.000, 0.742)
Se (0.500, 0.500, 0.242)
Se (0.500, 0.500, 0.758)

Top 10 peaks for 2θ = 15–90°, sorted by position:
Position (°2θ), I (rel.)
18.7, 34
26.1, 48
26.6, 100
32.3, 23
37.6, 74
38.0, 39
46.6, 41
60.8, 20
61.9, 19
68.3, 26

# 2
Tm6C4Se: computed PXRD pattern (Cu Kα X-rays), based on a structure optimized by DFT (PBE).
Intensities are scaled so that the largest is 100.

Cell and atoms:
a b c (Å): 6.269 6.269 18.375
angles (deg): 90.00 90.00 146.60
Atoms (fractional coordinates):
Tm (0.000, 0.000, 0.000)
Tm (0.000, 0.000, 0.500)
Tm (0.164, 0.836, 0.750)
Tm (0.276, 0.724, 0.077)
Tm (0.276, 0.724, 0.423)
Tm (0.465, 0.535, 0.650)
Tm (0.465, 0.535, 0.850)
Tm (0.535, 0.465, 0.150)
Tm (0.535, 0.465, 0.350)
Tm (0.724, 0.276, 0.577)
Tm (0.724, 0.276, 0.923)
Tm (0.836, 0.164, 0.250)
C (0.092, 0.908, 0.631)
C (0.092, 0.908, 0.869)
C (0.364, 0.636, 0.544)
C (0.364, 0.636, 0.956)
C (0.636, 0.364, 0.044)
C (0.636, 0.364, 0.456)
C (0.908, 0.092, 0.131)
C (0.908, 0.092, 0.369)
Se (0.159, 0.841, 0.250)
Se (0.841, 0.159, 0.750)

Top 10 peaks for 2θ = 15–90°, sorted by position:
Position (°2θ), I (rel.)
29.7, 69
30.2, 24
32.4, 91
32.8, 100
33.8, 27
34.9, 88
36.6, 31
50.7, 27
52.1, 52
61.7, 35

# 3
Tm8CSe6: computed PXRD pattern (Cu Kα X-rays), based on a structure optimized by DFT (PBE).
Intensities are scaled so that the largest is 100.

Cell and atoms:
a b c (Å): 8.246 8.246 5.760
angles (deg): 90.00 90.00 120.00
Atoms (fractional coordinates):
Tm (0.000, 0.240, 0.257)
Tm (0.000, 0.760, 0.743)
Tm (0.240, 0.000, 0.257)
Tm (0.240, 0.240, 0.743)
Tm (0.333, 0.667, 0.500)
Tm (0.667, 0.333, 0.500)
Tm (0.760, 0.000, 0.743)
Tm (0.760, 0.760, 0.257)
C (0.000, 0.000, 0.500)
Se (0.000, 0.395, 0.750)
Se (0.000, 0.605, 0.250)
Se (0.395, 0.000, 0.750)
Se (0.395, 0.395, 0.250)
Se (0.605, 0.000, 0.250)
Se (0.605, 0.605, 0.750)

Top 10 peaks for 2θ = 15–90°, sorted by position:
Position (°2θ), I (rel.)
26.6, 26
31.1, 20
33.2, 24
33.6, 14
36.8, 100
37.8, 19
38.1, 38
58.6, 13
59.0, 24
61.1, 14

Q: Which formula does entry 1 have?
A: Tl2CSe2

Please write out number 2 again, unchanged.
Tm6C4Se: computed PXRD pattern (Cu Kα X-rays), based on a structure optimized by DFT (PBE).
Intensities are scaled so that the largest is 100.

Cell and atoms:
a b c (Å): 6.269 6.269 18.375
angles (deg): 90.00 90.00 146.60
Atoms (fractional coordinates):
Tm (0.000, 0.000, 0.000)
Tm (0.000, 0.000, 0.500)
Tm (0.164, 0.836, 0.750)
Tm (0.276, 0.724, 0.077)
Tm (0.276, 0.724, 0.423)
Tm (0.465, 0.535, 0.650)
Tm (0.465, 0.535, 0.850)
Tm (0.535, 0.465, 0.150)
Tm (0.535, 0.465, 0.350)
Tm (0.724, 0.276, 0.577)
Tm (0.724, 0.276, 0.923)
Tm (0.836, 0.164, 0.250)
C (0.092, 0.908, 0.631)
C (0.092, 0.908, 0.869)
C (0.364, 0.636, 0.544)
C (0.364, 0.636, 0.956)
C (0.636, 0.364, 0.044)
C (0.636, 0.364, 0.456)
C (0.908, 0.092, 0.131)
C (0.908, 0.092, 0.369)
Se (0.159, 0.841, 0.250)
Se (0.841, 0.159, 0.750)

Top 10 peaks for 2θ = 15–90°, sorted by position:
Position (°2θ), I (rel.)
29.7, 69
30.2, 24
32.4, 91
32.8, 100
33.8, 27
34.9, 88
36.6, 31
50.7, 27
52.1, 52
61.7, 35